Starting from the GGA-PBE geometry in Alexandria, the powder diffraction line list of Ba3Sb was calculated for Cu Ka.
No peak broadening, texture or thermal motion is included.

Principal peaks in the range 2θ = 10–90°, by angle:
2θ = 11.43°, I = 33, hkl 1 0 -1
2θ = 22.99°, I = 29, hkl 2 0 -2
2θ = 24.92°, I = 100, hkl 0 1 2
2θ = 25.22°, I = 89, hkl 2 0 1
2θ = 28.27°, I = 58, hkl 2 1 -1
2θ = 35.10°, I = 24, hkl 1 1 3
2θ = 37.49°, I = 23, hkl 3 1 -2
2θ = 38.41°, I = 28, hkl 0 2 0
2θ = 45.43°, I = 19, hkl 1 0 5
2θ = 46.49°, I = 21, hkl 2 2 1

Crystal structure
abc: 8.5771 4.6873 11.5261
angles: 90.00 106.63 90.00
Space group P2_1/m (No. 11)
Symmetry-distinct sites (fractional):
Ba 0.0338 0.2500 0.3221 [2 per cell]
Ba 0.2860 0.7500 0.0420 [2 per cell]
Ba 0.4126 0.7500 0.6449 [2 per cell]
Sb 0.2790 0.2500 0.8184 [2 per cell]

Starting from the GGA-PBE geometry in Alexandria, the powder diffraction line list of Tm3Sc2Al3 was calculated for Cu Ka.
No peak broadening, texture or thermal motion is included.

Principal peaks in the range 2θ = 10–90°, by angle:
2θ = 21.82°, I = 29, hkl 0 1 3
2θ = 25.64°, I = 25, hkl 1 0 1
2θ = 27.89°, I = 25, hkl 0 1 5
2θ = 34.73°, I = 20, hkl 0 0 8
2θ = 35.58°, I = 100, hkl 0 2 0
2θ = 44.34°, I = 12, hkl 1 2 1
2θ = 50.54°, I = 14, hkl 0 2 8
2θ = 51.89°, I = 9, hkl 2 0 0
2θ = 62.81°, I = 13, hkl 1 1 12
2θ = 63.89°, I = 21, hkl 1 3 4

Crystal structure
abc: 3.5246 5.0521 20.6647
angles: 90.00 90.00 90.00
Space group Immm (No. 71)
Symmetry-distinct sites (fractional):
Tm 0.0000 0.0000 0.0000 [2 per cell]
Tm 0.0000 0.5000 0.1236 [4 per cell]
Sc 0.0000 0.0000 0.2348 [4 per cell]
Al 0.0000 0.0000 0.5000 [2 per cell]
Al 0.0000 0.5000 0.3768 [4 per cell]

Starting from the GGA-PBE geometry in Alexandria, the powder diffraction line list of PaAgSbN was calculated for Cu Ka.
No peak broadening, texture or thermal motion is included.

Principal peaks in the range 2θ = 10–90°, by angle:
2θ = 28.75°, I = 100, hkl 1 0 2
2θ = 31.39°, I = 25, hkl 1 1 0
2θ = 32.75°, I = 52, hkl 1 1 1
2θ = 35.51°, I = 55, hkl 1 0 3
2θ = 36.53°, I = 32, hkl 1 1 2
2θ = 44.99°, I = 43, hkl 2 0 0
2θ = 49.22°, I = 22, hkl 1 1 4
2θ = 54.27°, I = 35, hkl 2 1 2
2θ = 58.58°, I = 26, hkl 2 1 3
2θ = 66.80°, I = 19, hkl 2 0 5

Crystal structure
abc: 4.0299 4.0299 9.7401
angles: 90.00 90.00 90.00
Space group P4/nmm (No. 129, origin choice 2)
Symmetry-distinct sites (fractional):
Pa 0.2500 0.2500 0.1185 [2 per cell]
Ag 0.2500 0.7500 0.5000 [2 per cell]
Sb 0.2500 0.2500 0.7133 [2 per cell]
N 0.2500 0.7500 0.0000 [2 per cell]

Starting from the GGA-PBE geometry in Alexandria, the powder diffraction line list of CsKBrCl was calculated for Cu Ka.
No peak broadening, texture or thermal motion is included.

Principal peaks in the range 2θ = 10–90°, by angle:
2θ = 10.92°, I = 15, hkl 0 0 3
2θ = 21.60°, I = 21, hkl 1 0 1
2θ = 25.89°, I = 100, hkl 1 0 4
2θ = 28.17°, I = 18, hkl 0 1 5
2θ = 36.57°, I = 36, hkl 0 1 8
2θ = 37.31°, I = 37, hkl 1 1 0
2θ = 45.97°, I = 20, hkl 0 2 4
2θ = 53.24°, I = 12, hkl 2 0 8
2θ = 59.62°, I = 14, hkl 1 1 12
2θ = 60.63°, I = 17, hkl 2 1 4

Crystal structure
abc: 4.8208 4.8208 24.3100
angles: 90.00 90.00 120.00
Space group R3m (No. 160, hexagonal axes)
Symmetry-distinct sites (fractional):
Cs 0.0000 0.0000 0.0000 [3 per cell]
K 0.0000 0.0000 0.4915 [3 per cell]
Br 0.0000 0.0000 0.2373 [3 per cell]
Cl 0.0000 0.0000 0.7536 [3 per cell]

Starting from the GGA-PBE geometry in Alexandria, the powder diffraction line list of KPaBeN3 was calculated for Cu Ka.
No peak broadening, texture or thermal motion is included.

Principal peaks in the range 2θ = 10–90°, by angle:
2θ = 11.79°, I = 22, hkl 0 0 1
2θ = 12.20°, I = 23, hkl 1 0 0
2θ = 14.24°, I = 100, hkl 1 0 -1
2θ = 24.53°, I = 22, hkl 2 0 0
2θ = 28.45°, I = 21, hkl 0 1 1
2θ = 28.65°, I = 67, hkl 2 0 -2
2θ = 29.87°, I = 20, hkl 1 0 2
2θ = 34.98°, I = 29, hkl 1 1 -2
2θ = 35.31°, I = 26, hkl 0 1 2
2θ = 46.29°, I = 22, hkl 3 1 -2

Crystal structure
abc: 7.5991 3.4540 7.8617
angles: 90.00 107.27 90.00
Space group P2_1/m (No. 11)
Symmetry-distinct sites (fractional):
K 0.2250 0.2500 0.1869 [2 per cell]
Pa 0.1860 0.2500 0.6675 [2 per cell]
Be 0.4129 0.7500 0.9305 [2 per cell]
N 0.1411 0.7500 0.4775 [2 per cell]
N 0.1769 0.7500 0.8478 [2 per cell]
N 0.4710 0.2500 0.8533 [2 per cell]

Starting from the GGA-PBE geometry in Alexandria, the powder diffraction line list of SrHg6 was calculated for Cu Ka.
No peak broadening, texture or thermal motion is included.

Principal peaks in the range 2θ = 10–90°, by angle:
2θ = 20.78°, I = 20, hkl 1 0 1
2θ = 33.44°, I = 100, hkl 1 1 2
2θ = 35.83°, I = 46, hkl 2 0 0
2θ = 41.77°, I = 12, hkl 1 1 3
2θ = 44.23°, I = 9, hkl 0 0 4
2θ = 51.58°, I = 17, hkl 2 2 0
2θ = 58.18°, I = 17, hkl 2 0 4
2θ = 62.46°, I = 10, hkl 1 1 5
2θ = 62.87°, I = 33, hkl 3 1 2
2θ = 70.25°, I = 9, hkl 2 2 4

Crystal structure
abc: 5.0121 5.0121 8.1908
angles: 90.00 90.00 90.00
Space group P4/mmm (No. 123)
Symmetry-distinct sites (fractional):
Sr 0.0000 0.0000 0.0000 [1 per cell]
Hg 0.0000 0.0000 0.5000 [1 per cell]
Hg 0.0000 0.5000 0.2816 [4 per cell]
Hg 0.5000 0.5000 0.0000 [1 per cell]